No. 1
Starting from the GGA-PBE geometry in Alexandria, the powder diffractogram of Cd5In12Sn2 was simulated for λ = 1.5418 Å (Cu Kα).

Top 6 peaks for 10° ≤ 2θ ≤ 90°, in order of falling intensity:
- 34.40 deg, rel. 100, (4 2 1)
- 32.89 deg, rel. 65, (0 4 0)
- 37.31 deg, rel. 65, (6 2 -1)
- 31.12 deg, rel. 30, (2 0 -2)
- 32.06 deg, rel. 28, (1 1 -2)
- 29.62 deg, rel. 25, (5 1 -1)

```
data_Cd5In12Sn2
_chemical_formula_sum 'Cd10 In24 Sn4'
_symmetry_space_group_name_H-M 'C 1 2/m 1'
_symmetry_Int_Tables_number 12
_cell_length_a 16.6308
_cell_length_b 10.8916
_cell_length_c 5.7867
_cell_angle_alpha 90.00
_cell_angle_beta 103.55
_cell_angle_gamma 90.00
loop_
_symmetry_equiv_pos_as_xyz
'x,y,z'
'-x,-y,-z'
'-x,y,-z'
'x,-y,z'
'x+1/2,y+1/2,z'
'-x+1/2,-y+1/2,-z'
'-x+1/2,y+1/2,-z'
'x+1/2,-y+1/2,z'
loop_
_atom_site_label
_atom_site_type_symbol
_atom_site_fract_x
_atom_site_fract_y
_atom_site_fract_z
Cd1 Cd 0.0000 0.0000 0.0000
Cd2 Cd 0.1900 0.5000 0.3359
Cd3 Cd 0.1986 0.0000 0.1149
In1 In 0.0920 0.5000 0.7788
In2 In 0.0994 0.0000 0.5566
In3 In 0.0989 0.2572 0.1056
In4 In 0.2034 0.2501 0.7071
Sn1 Sn 0.0000 0.2717 0.5000
```

***

No. 2
Starting from the GGA-PBE geometry in Alexandria, the powder diffractogram of Cd3In2Sn3 was simulated for λ = 1.5418 Å (Cu Kα).

Top 6 peaks for 10° ≤ 2θ ≤ 90°, in order of falling intensity:
- 31.39 deg, rel. 100, (1 1 3)
- 37.27 deg, rel. 73, (2 1 1)
- 39.17 deg, rel. 62, (1 2 2)
- 30.46 deg, rel. 59, (1 0 4)
- 30.71 deg, rel. 54, (2 0 2)
- 50.87 deg, rel. 31, (1 2 5)

```
data_Cd3In2Sn3
_chemical_formula_sum 'Cd9 In6 Sn9'
_symmetry_space_group_name_H-M 'R 3 2'
_symmetry_Int_Tables_number 155
_symmetry_space_group_name_Hall 'R 3 2"'
_cell_length_a 7.4980
_cell_length_b 7.4980
_cell_length_c 13.1615
_cell_angle_alpha 90.00
_cell_angle_beta 90.00
_cell_angle_gamma 120.00
loop_
_atom_site_label
_atom_site_type_symbol
_atom_site_fract_x
_atom_site_fract_y
_atom_site_fract_z
Cd1 Cd 0.0000 0.7642 0.0000
In1 In 0.0000 0.0000 0.2641
Sn1 Sn 0.0000 0.2483 0.5000
```

***

No. 3
Starting from the GGA-PBE geometry in Alexandria, the powder diffractogram of Cd9In2Sn was simulated for λ = 1.5418 Å (Cu Kα).

Top 6 peaks for 10° ≤ 2θ ≤ 90°, in order of falling intensity:
- 34.02 deg, rel. 100, (1 1 3)
- 39.35 deg, rel. 33, (2 0 0)
- 67.94 deg, rel. 25, (3 1 3)
- 57.17 deg, rel. 21, (2 0 6)
- 39.75 deg, rel. 16, (0 0 6)
- 68.49 deg, rel. 12, (1 1 9)

```
data_Cd9In2Sn
_chemical_formula_sum 'Cd9 In2 Sn1'
_symmetry_space_group_name_H-M 'P 4/m m m'
_symmetry_Int_Tables_number 123
_symmetry_space_group_name_Hall '-P 4 2'
_cell_length_a 4.5797
_cell_length_b 4.5797
_cell_length_c 13.6067
_cell_angle_alpha 90.00
_cell_angle_beta 90.00
_cell_angle_gamma 90.00
loop_
_atom_site_label
_atom_site_type_symbol
_atom_site_fract_x
_atom_site_fract_y
_atom_site_fract_z
Cd1 Cd 0.0000 0.0000 0.0000
Cd2 Cd 0.0000 0.0000 0.3338
Cd3 Cd 0.0000 0.5000 0.1678
Cd4 Cd 0.0000 0.5000 0.5000
In1 In 0.5000 0.5000 0.3343
Sn1 Sn 0.5000 0.5000 0.0000
```